# Ba3Fe2Pd2
Calculated X-ray powder pattern, Cu Kα (λ = 1.5418 Å). Input: a cell relaxed with GGA-PBE.

```
Ba3Fe2Pd2
1.0
2.7144 1.5671 8.8858
-2.7144 1.5671 8.8858
0.0000 -3.1343 8.8858
Ba Fe Pd
3 2 2
direct
0.0000 0.0000 0.0000
0.2357 0.2357 0.2357
0.4737 0.4737 0.4737
0.1187 0.1187 0.1187
0.6283 0.6283 0.6283
0.3500 0.3500 0.3500
0.8631 0.8631 0.8631
```

Peak list (10 most intense, 2θ = 5–70°, in order of falling intensity)
- 33.0°, 2.716 Å, I 100
- 58.9°, 1.568 Å, I 26
- 47.3°, 1.921 Å, I 15
- 20.0°, 4.438 Å, I 13
- 45.3°, 2.001 Å, I 11
- 25.3°, 3.526 Å, I 11
- 19.2°, 4.630 Å, I 10
- 38.9°, 2.316 Å, I 9
- 69.2°, 1.357 Å, I 6
- 30.2°, 2.962 Å, I 6

---

# Ba2FeS3
Calculated X-ray powder pattern, Cu Kα (λ = 1.5418 Å). Input: a cell relaxed with GGA-PBE.

```
Ba2FeS3
1.0
8.7886 0.0000 0.0000
0.0000 4.3060 0.0000
0.0000 0.0000 17.1001
Ba Fe S
8 4 12
direct
0.0872 0.2500 0.2116
0.2438 0.7500 0.4544
0.2562 0.2500 0.9544
0.4128 0.7500 0.7116
0.5872 0.2500 0.2884
0.7438 0.7500 0.0456
0.7562 0.2500 0.5456
0.9128 0.7500 0.7884
0.1319 0.2500 0.6349
0.3681 0.7500 0.1349
0.6319 0.2500 0.8651
0.8681 0.7500 0.3651
0.0144 0.7500 0.6051
0.1373 0.7500 0.0705
0.1732 0.2500 0.7695
0.3268 0.7500 0.2695
0.3627 0.2500 0.5705
0.4856 0.2500 0.1051
0.5144 0.7500 0.8949
0.6373 0.7500 0.4295
0.6732 0.2500 0.7305
0.8268 0.7500 0.2305
0.8627 0.2500 0.9295
0.9856 0.2500 0.3949
```

Peak list (10 most intense, 2θ = 5–70°, in order of falling intensity)
- 25.9°, 3.436 Å, I 100
- 30.9°, 2.894 Å, I 90
- 29.5°, 3.027 Å, I 71
- 23.1°, 3.844 Å, I 68
- 22.8°, 3.908 Å, I 65
- 42.0°, 2.153 Å, I 59
- 23.6°, 3.772 Å, I 56
- 32.3°, 2.771 Å, I 51
- 31.2°, 2.868 Å, I 50
- 28.0°, 3.187 Å, I 47

---

> Which formula does entry 2 have?

Ba2FeS3